No. 1
Theoretical powder XRD pattern of TbTlCo for Cu Kα, 1.54184 Å, from a crystal structure in Alexandria, relaxed with PBE.
Lines closer than 0.1° are merged.

Peak list (10 most intense, 2θ = 10–90°, low angle first)
- 26.7°, intensity 30.7
- 28.7°, intensity 60.7
- 32.7°, intensity 90.0
- 34.3°, intensity 100.0
- 40.1°, intensity 19.8
- 40.7°, intensity 22.6
- 46.8°, intensity 79.1
- 59.4°, intensity 20.8
- 63.8°, intensity 35.8
- 77.9°, intensity 20.0

Crystal structure
Unit cell a=11.302 b=11.302 c=11.302 alpha=19.76 beta=19.76 gamma=19.76
Sites, in units of the cell vectors:
Tb1 0.000 0.000 0.000
Tb2 0.110 0.110 0.110
Tl1 0.257 0.257 0.257
Tl2 0.520 0.520 0.520
Co1 0.388 0.388 0.388
Co2 0.722 0.722 0.722

***

No. 2
Theoretical powder XRD pattern of Tb2Tm5Co4 for Cu Kα, 1.54184 Å, from a crystal structure in Alexandria, relaxed with PBE.
Lines closer than 0.1° are merged.

Peak list (10 most intense, 2θ = 10–90°, low angle first)
- 27.0°, intensity 18.5
- 27.7°, intensity 19.5
- 29.0°, intensity 19.2
- 30.8°, intensity 100.0
- 32.1°, intensity 23.6
- 34.0°, intensity 30.1
- 34.8°, intensity 28.5
- 41.1°, intensity 15.1
- 41.6°, intensity 24.5
- 52.1°, intensity 26.6

Crystal structure
Unit cell a=6.743 b=6.743 c=8.821 alpha=123.16 beta=123.16 gamma=56.54
Sites, in units of the cell vectors:
Tb1 0.219 0.219 0.131
Tb2 0.781 0.781 0.869
Tm1 0.172 0.688 0.610
Tm2 0.312 0.828 0.390
Tm3 0.500 0.500 0.000
Tm4 0.688 0.172 0.610
Tm5 0.828 0.312 0.390
Co1 0.176 0.176 0.797
Co2 0.280 0.280 0.658
Co3 0.720 0.720 0.342
Co4 0.824 0.824 0.203

***

No. 3
Theoretical powder XRD pattern of Tb2TmCo2 for Cu Kα, 1.54184 Å, from a crystal structure in Alexandria, relaxed with PBE.
Lines closer than 0.1° are merged.

Peak list (10 most intense, 2θ = 10–90°, low angle first)
- 29.6°, intensity 47.1
- 32.0°, intensity 34.5
- 32.8°, intensity 43.0
- 33.2°, intensity 100.0
- 33.7°, intensity 84.7
- 38.8°, intensity 43.9
- 39.2°, intensity 35.7
- 46.7°, intensity 32.5
- 54.6°, intensity 23.5
- 64.1°, intensity 24.5

Crystal structure
Unit cell a=10.973 b=3.887 c=6.032 alpha=90.00 beta=121.76 gamma=90.00
Sites, in units of the cell vectors:
Tb1 0.194 0.000 0.187
Tb2 0.306 0.500 0.813
Tb3 0.694 0.500 0.187
Tb4 0.806 0.000 0.813
Tm1 0.000 0.000 0.500
Tm2 0.500 0.500 0.500
Co1 0.016 0.500 0.826
Co2 0.484 0.000 0.174
Co3 0.516 0.000 0.826
Co4 0.984 0.500 0.174

***

No. 4
Theoretical powder XRD pattern of TbTm2Co for Cu Kα, 1.54184 Å, from a crystal structure in Alexandria, relaxed with PBE.
Lines closer than 0.1° are merged.

Peak list (10 most intense, 2θ = 10–90°, low angle first)
- 31.2°, intensity 29.1
- 31.6°, intensity 30.6
- 32.4°, intensity 100.0
- 33.1°, intensity 43.7
- 35.0°, intensity 26.8
- 35.5°, intensity 40.6
- 50.1°, intensity 17.7
- 55.1°, intensity 17.0
- 58.2°, intensity 20.0
- 61.6°, intensity 17.1

Crystal structure
Unit cell a=6.899 b=9.265 c=6.208 alpha=90.00 beta=90.00 gamma=90.00
Sites, in units of the cell vectors:
Tb1 0.042 0.250 0.139
Tb2 0.458 0.750 0.639
Tb3 0.542 0.250 0.361
Tb4 0.958 0.750 0.861
Tm1 0.174 0.068 0.676
Tm2 0.174 0.432 0.676
Tm3 0.326 0.568 0.176
Tm4 0.326 0.932 0.176
Tm5 0.674 0.068 0.824
Tm6 0.674 0.432 0.824
Tm7 0.826 0.568 0.324
Tm8 0.826 0.932 0.324
Co1 0.113 0.750 0.451
Co2 0.387 0.250 0.951
Co3 0.613 0.750 0.049
Co4 0.887 0.250 0.549

***

No. 5
Theoretical powder XRD pattern of Tb2UCo3 for Cu Kα, 1.54184 Å, from a crystal structure in Alexandria, relaxed with PBE.
Lines closer than 0.1° are merged.

Peak list (10 most intense, 2θ = 10–90°, low angle first)
- 19.2°, intensity 35.2
- 28.3°, intensity 31.2
- 29.5°, intensity 51.9
- 30.2°, intensity 29.3
- 33.3°, intensity 100.0
- 37.4°, intensity 40.5
- 37.8°, intensity 48.2
- 39.0°, intensity 44.6
- 42.8°, intensity 77.2
- 45.2°, intensity 49.8

Crystal structure
Unit cell a=5.107 b=10.887 c=4.010 alpha=90.00 beta=90.00 gamma=90.00
Sites, in units of the cell vectors:
Tb1 0.196 0.202 0.000
Tb2 0.304 0.702 0.500
Tb3 0.696 0.298 0.500
Tb4 0.804 0.798 0.000
U1 0.000 0.500 0.000
U2 0.500 0.000 0.500
Co1 0.000 0.000 0.500
Co2 0.210 0.423 0.500
Co3 0.290 0.923 0.000
Co4 0.500 0.500 0.000
Co5 0.710 0.077 0.000
Co6 0.790 0.577 0.500

***

No. 6
Theoretical powder XRD pattern of Tb2YCo2 for Cu Kα, 1.54184 Å, from a crystal structure in Alexandria, relaxed with PBE.
Lines closer than 0.1° are merged.

Peak list (10 most intense, 2θ = 10–90°, low angle first)
- 29.0°, intensity 37.4
- 29.3°, intensity 64.0
- 29.8°, intensity 54.6
- 32.9°, intensity 69.3
- 33.2°, intensity 100.0
- 35.2°, intensity 48.0
- 36.1°, intensity 62.0
- 37.5°, intensity 34.2
- 40.2°, intensity 48.3
- 51.2°, intensity 33.4

Crystal structure
Unit cell a=6.201 b=6.201 c=7.301 alpha=100.64 beta=100.64 gamma=56.05
Sites, in units of the cell vectors:
Tb1 0.047 0.274 0.151
Tb2 0.274 0.047 0.651
Tb3 0.726 0.953 0.349
Tb4 0.953 0.726 0.849
Y1 0.414 0.586 0.250
Y2 0.586 0.414 0.750
Co1 0.192 0.471 0.484
Co2 0.471 0.192 0.984
Co3 0.529 0.808 0.016
Co4 0.808 0.529 0.516

***

- Which formula does entry 1 have?
  TbTlCo